Simulated X-ray powder pattern of Cs2DyLuS4 for Cu Kα (weighted mean of Kα1 and Kα2), from the GGA-PBE geometry in OQMD.
Intensities are scaled so that the largest is 100.

Top 12 peaks for 15 to 90 degrees two-theta, low angle first:
hkl 0 0 4, 2θ 22.2, I 39
hkl 1 0 1, 2θ 26.0, I 16
hkl 1 0 2, 2θ 27.7, I 100
hkl 0 1 3, 2θ 30.5, I 49
hkl 0 1 4, 2θ 33.9, I 19
hkl 1 0 6, 2θ 42.5, I 46
hkl 1 1 0, 2θ 44.7, I 37
hkl 1 1 4, 2θ 50.4, I 27
hkl 0 2 2, 2θ 53.4, I 17
hkl 0 2 6, 2θ 63.4, I 14
hkl 1 1 8, 2θ 65.5, I 15
hkl 2 1 6, 2θ 80.9, I 14

Atomic structure:
Cell lengths 4.0544, 4.0544, 16.0379 Å; angles 90.00, 90.00, 120.00 degrees
Space group P-3m1 (No. 164)
Unique sites:
Cs1 0.3333 0.6667 0.2516 [2 per cell]
Dy1 0.0000 0.0000 0.0000 [1 per cell]
Lu1 0.0000 0.0000 0.5000 [1 per cell]
S1 0.3333 0.6667 0.5886 [2 per cell]
S2 0.3333 0.6667 0.9078 [2 per cell]